For CsPmZn2F8, the GGA-PBE geometry in Alexandria gives the computed powder X-ray diffraction pattern in this record (Cu Kα (λ = 1.5418 Å)).
Kinematic intensities with the Lorentz-polarization factor, no thermal factor.

Crystal structure
```
data_CsPmZn2F8
_chemical_formula_sum 'Cs3 Pm3 Zn6 F24'
_space_group_name_H-M_alt 'R 3 2'
_space_group_IT_number 155
_space_group_name_Hall 'R 3 2"'
_cell_length_a 5.4789
_cell_length_b 5.4789
_cell_length_c 27.7871
_cell_angle_alpha 90.00
_cell_angle_beta 90.00
_cell_angle_gamma 120.00
loop_
_atom_site_label
_atom_site_type_symbol
_atom_site_fract_x
_atom_site_fract_y
_atom_site_fract_z
Cs1 Cs 0.0000 0.0000 0.0000
Pm1 Pm 0.0000 0.0000 0.5000
Zn1 Zn 0.0000 0.0000 0.2487
F1 F 0.0000 0.0000 0.3156
F2 F 0.0001 0.3573 0.1149
```

Most intense lines, 2θ = 10–90°, sorted by position:
- 2θ 22.69, I 100, (1 0 4)
- 2θ 31.93, I 32, (0 1 8)
- 2θ 32.69, I 37, (1 1 0)
- 2θ 38.17, I 10, (1 1 6)
- 2θ 40.17, I 19, (0 2 4)
- 2θ 46.35, I 13, (2 0 8)
- 2θ 51.69, I 26, (1 1 12)
- 2θ 52.71, I 19, (2 1 4)
- 2θ 57.87, I 12, (1 2 8)
- 2θ 58.34, I 12, (3 0 0)

***

For KBePb2, the GGA-PBE geometry in Alexandria gives the computed powder X-ray diffraction pattern in this record (Cu Kα (λ = 1.5418 Å)).
Kinematic intensities with the Lorentz-polarization factor, no thermal factor.

Crystal structure
```
data_KBePb2
_chemical_formula_sum 'K4 Be4 Pb8'
_space_group_name_H-M_alt 'I 41/a m d'
_space_group_IT_number 141
_cell_length_a 6.191
_cell_length_b 6.191
_cell_length_c 15.851
_cell_angle_alpha 90.00
_cell_angle_beta 90.00
_cell_angle_gamma 90.00
loop_
_space_group_symop_operation_xyz
'x,y,z'
'-x,-y,-z'
'-y+1/4,x+3/4,z+1/4'
'y+1/4,-x+3/4,-z+1/4'
'-x+1/2,-y,z+1/2'
'x+1/2,y,-z+1/2'
'y+1/4,-x+1/4,z+3/4'
'-y+1/4,x+1/4,-z+3/4'
'x,-y,-z'
'-x,y,z'
'-y+1/4,-x+1/4,-z+3/4'
'y+1/4,x+1/4,z+3/4'
'-x+1/2,y,-z+1/2'
'x+1/2,-y,z+1/2'
'y+1/4,x+3/4,-z+1/4'
'-y+1/4,-x+3/4,z+1/4'
'x+1/2,y+1/2,z+1/2'
'-x+1/2,-y+1/2,-z+1/2'
'-y+3/4,x+1/4,z+3/4'
'y+3/4,-x+1/4,-z+3/4'
'-x,-y+1/2,z'
'x,y+1/2,-z'
'y+3/4,-x+3/4,z+1/4'
'-y+3/4,x+3/4,-z+1/4'
'x+1/2,-y+1/2,-z+1/2'
'-x+1/2,y+1/2,z+1/2'
'-y+3/4,-x+3/4,-z+1/4'
'y+3/4,x+3/4,z+1/4'
'-x,y+1/2,-z'
'x,-y+1/2,z'
'y+3/4,x+1/4,-z+3/4'
'-y+3/4,-x+1/4,z+3/4'
loop_
_atom_site_label
_atom_site_type_symbol
_atom_site_fract_x
_atom_site_fract_y
_atom_site_fract_z
K1 K 0.000 0.250 0.375
Be1 Be 0.000 0.250 0.875
Pb1 Pb 0.000 0.000 0.000
```

Most intense lines, 2θ = 10–90°, sorted by position:
- 2θ 15.36, I 99, (1 0 1)
- 2θ 22.12, I 72, (1 0 3)
- 2θ 22.44, I 42, (0 0 4)
- 2θ 31.01, I 100, (2 0 2)
- 2θ 31.71, I 30, (1 0 5)
- 2θ 32.84, I 54, (2 1 1)
- 2θ 36.64, I 25, (2 1 3)
- 2θ 45.12, I 37, (2 0 6)
- 2θ 47.45, I 39, (2 2 4)
- 2θ 68.84, I 21, (4 2 2)